For K2InAgBr6, a structure optimized by DFT (PBE) gives the calculated PXRD pattern in this record (λ = 1.5418 Å (Cu Kα)).
Peak positions follow from Bragg's law for the DFT cell and can differ from measured ones.

abc: 11.089 11.089 11.089
angles: 90.00 90.00 90.00
Space group Fm-3m (No. 225)
One atom of each set of equivalent atoms:
K (0.250, 0.250, 0.250) (multiplicity 8)
In (0.000, 0.000, 0.000) (multiplicity 4)
Ag (0.000, 0.000, 0.500) (multiplicity 4)
Br (0.000, 0.000, 0.245) (multiplicity 24)

Main lines, in order of rising 2θ (10° ≤ 2θ ≤ 90°):
(2 0 0), 15.98°, d = 5.545 Å, rel. 82.9
(2 2 2), 27.87°, d = 3.201 Å, rel. 36.7
(4 0 0), 32.29°, d = 2.772 Å, rel. 100.0
(4 2 0), 36.23°, d = 2.480 Å, rel. 44.1
(4 4 0), 46.31°, d = 1.960 Å, rel. 70.3
(4 4 4), 57.59°, d = 1.601 Å, rel. 23.8
(8 4 0), 76.89°, d = 1.240 Å, rel. 30.0
(8 4 4), 85.87°, d = 1.132 Å, rel. 23.0